# 1
Starting from the GGA-PBE geometry in OQMD, the powder X-ray diffraction pattern of GdErC2Br2 was calculated for Cu Kα (λ = 1.5418 Å).

Structural model:
```
data_GdErC2Br2
_symmetry_space_group_name_H-M 'C 1 m 1'
_symmetry_Int_Tables_number 8
_cell_length_a 7.054
_cell_length_b 3.784
_cell_length_c 10.969
_cell_angle_alpha 90.00
_cell_angle_beta 94.66
_cell_angle_gamma 90.00
loop_
_symmetry_equiv_pos_as_xyz
'x,y,z'
'x,-y,z'
'x+1/2,y+1/2,z'
'x+1/2,-y+1/2,z'
loop_
_atom_site_label
_atom_site_fract_x
_atom_site_fract_y
_atom_site_fract_z
Gd1 0.000 0.000 0.000
Er1 0.290 0.000 0.264
C1 0.070 0.500 0.170
C2 0.220 0.500 0.103
Br1 0.320 0.000 0.825
Br2 0.465 0.500 0.434
```

Most intense lines, 5° ≤ 2θ ≤ 70°, in order of rising 2θ:
(0 0 1), d = 10.933 Å, 2θ 8.09, rel. 1000
(0 0 2), d = 5.466 Å, 2θ 16.21, rel. 117
(1 1 0), d = 3.332 Å, 2θ 26.75, rel. 240
(2 0 -2), d = 3.073 Å, 2θ 29.06, rel. 367
(1 1 -2), d = 2.895 Å, 2θ 30.88, rel. 179
(1 1 2), d = 2.798 Å, 2θ 31.99, rel. 478
(1 1 3), d = 2.413 Å, 2θ 37.26, rel. 195
(1 1 -4), d = 2.154 Å, 2θ 41.94, rel. 161
(3 1 0), d = 1.993 Å, 2θ 45.52, rel. 193
(1 1 -5), d = 1.862 Å, 2θ 48.92, rel. 129

---

# 2
Starting from the GGA-PBE geometry in OQMD, the powder X-ray diffraction pattern of KHfZrC was calculated for Cu Kα (λ = 1.5418 Å).

Structural model:
```
data_KHfZrC
_symmetry_space_group_name_H-M 'P -3 m 1'
_symmetry_Int_Tables_number 164
_symmetry_space_group_name_Hall '-P 3 2"'
_cell_length_a 3.3580
_cell_length_b 3.3580
_cell_length_c 18.9467
_cell_angle_alpha 90.00
_cell_angle_beta 90.00
_cell_angle_gamma 120.00
loop_
_atom_site_label
_atom_site_fract_x
_atom_site_fract_y
_atom_site_fract_z
K1 0.3333 0.6667 0.2513
Hf1 0.3333 0.6667 0.5639
Zr1 0.3333 0.6667 0.9347
C1 0.0000 0.0000 0.0000
C2 0.0000 0.0000 0.5000
```

Most intense lines, 5° ≤ 2θ ≤ 70°, in order of rising 2θ:
(0 0 2), d = 9.473 Å, 2θ 9.34, rel. 1000
(0 0 6), d = 3.158 Å, 2θ 28.26, rel. 180
(1 0 0), d = 2.908 Å, 2θ 30.75, rel. 165
(1 0 2), d = 2.780 Å, 2θ 32.20, rel. 88
(1 0 3), d = 2.641 Å, 2θ 33.94, rel. 792
(0 1 5), d = 2.307 Å, 2θ 39.04, rel. 258
(0 1 6), d = 2.139 Å, 2θ 42.25, rel. 131
(1 1 0), d = 1.679 Å, 2θ 54.67, rel. 155
(1 1 6), d = 1.482 Å, 2θ 62.68, rel. 189
(0 2 3), d = 1.417 Å, 2θ 65.92, rel. 111